Record 1
DyY4Ag5: calculated X-ray powder pattern (CuKα), based on a GGA-PBE-relaxed structure.
Peak positions follow from Bragg's law for the DFT cell and can differ from measured ones.

The 6 most intense peaks (5° ≤ 2θ ≤ 70°), sorted by position:
2θ 34.70, rel. 100
2θ 35.11, rel. 48
2θ 49.26, rel. 9
2θ 50.50, rel. 17
2θ 61.92, rel. 18
2θ 62.73, rel. 34

Structure:
```
DyY4Ag5
1.0
3.614 0.000 0.000
0.000 3.614 0.000
0.000 0.000 18.497
Dy Y Ag
1 4 5
direct
0.000 0.000 0.000
0.000 0.000 0.200
0.000 0.000 0.400
0.000 0.000 0.600
0.000 0.000 0.800
0.500 0.500 0.099
0.500 0.500 0.300
0.500 0.500 0.500
0.500 0.500 0.700
0.500 0.500 0.901
```

Record 2
Cs2CeNbO6: calculated X-ray powder pattern (CuKα), based on a GGA-PBE-relaxed structure.
Peak positions follow from Bragg's law for the DFT cell and can differ from measured ones.

The 6 most intense peaks (5° ≤ 2θ ≤ 70°), sorted by position:
2θ 25.62, rel. 42
2θ 27.66, rel. 100
2θ 27.96, rel. 29
2θ 38.06, rel. 25
2θ 48.92, rel. 20
2θ 52.44, rel. 23

Structure:
```
Cs2CeNbO6
1.0
3.225 1.862 10.367
-3.225 1.862 10.367
0.000 -3.723 10.367
Cs Ce Nb O
4 2 2 12
direct
0.131 0.131 0.131
0.279 0.279 0.279
0.721 0.721 0.721
0.869 0.869 0.869
0.401 0.401 0.401
0.599 0.599 0.599
0.000 0.000 0.000
0.500 0.500 0.500
0.184 0.594 0.594
0.189 0.189 0.731
0.189 0.731 0.189
0.269 0.811 0.811
0.406 0.406 0.816
0.406 0.816 0.406
0.594 0.184 0.594
0.594 0.594 0.184
0.731 0.189 0.189
0.811 0.269 0.811
0.811 0.811 0.269
0.816 0.406 0.406
```

Record 3
Li4CrSe: calculated X-ray powder pattern (CuKα), based on a GGA-PBE-relaxed structure.
Peak positions follow from Bragg's law for the DFT cell and can differ from measured ones.

The 6 most intense peaks (5° ≤ 2θ ≤ 70°), sorted by position:
2θ 20.67, rel. 100
2θ 34.08, rel. 100
2θ 40.19, rel. 79
2θ 53.69, rel. 21
2θ 61.00, rel. 34
2θ 65.14, rel. 24

Structure:
```
Li4CrSe
1.0
0.000 3.721 3.721
3.721 0.000 3.721
3.721 3.721 0.000
Li Cr Se
4 1 1
direct
0.125 0.125 0.125
0.125 0.125 0.625
0.125 0.625 0.125
0.625 0.125 0.125
0.500 0.500 0.500
0.750 0.750 0.750
```

Record 4
HgC2S2N2: calculated X-ray powder pattern (CuKα), based on a GGA-PBE-relaxed structure.
Peak positions follow from Bragg's law for the DFT cell and can differ from measured ones.

The 6 most intense peaks (5° ≤ 2θ ≤ 70°), sorted by position:
2θ 12.68, rel. 100
2θ 16.29, rel. 33
2θ 19.08, rel. 53
2θ 21.92, rel. 70
2θ 24.75, rel. 72
2θ 33.13, rel. 32

Structure:
```
HgC2S2N2
1.0
5.506 -2.185 0.000
5.506 2.185 0.000
-1.083 0.000 6.984
Hg C S N
1 2 2 2
direct
0.000 0.000 0.000
0.378 0.164 0.208
0.836 0.622 0.792
0.225 0.058 0.299
0.942 0.775 0.701
0.486 0.246 0.151
0.754 0.514 0.849
```

Record 5
La3Pm4Sc: calculated X-ray powder pattern (CuKα), based on a GGA-PBE-relaxed structure.
Peak positions follow from Bragg's law for the DFT cell and can differ from measured ones.

The 6 most intense peaks (5° ≤ 2θ ≤ 70°), sorted by position:
2θ 29.60, rel. 40
2θ 30.10, rel. 100
2θ 31.18, rel. 90
2θ 35.94, rel. 22
2θ 36.67, rel. 24
2θ 61.46, rel. 26

Structure:
```
La3Pm4Sc
1.0
-1.774 5.942 6.551
1.774 -5.942 6.551
1.774 5.942 -6.551
La Pm Sc
3 4 1
direct
0.000 0.000 0.000
0.262 0.762 0.500
0.738 0.238 0.500
0.124 0.368 0.757
0.389 0.632 0.757
0.611 0.368 0.243
0.876 0.632 0.243
0.500 0.500 0.000
```

Record 6
PdN2F4: calculated X-ray powder pattern (CuKα), based on a GGA-PBE-relaxed structure.
Peak positions follow from Bragg's law for the DFT cell and can differ from measured ones.

The 6 most intense peaks (5° ≤ 2θ ≤ 70°), sorted by position:
2θ 12.96, rel. 100
2θ 19.06, rel. 46
2θ 20.09, rel. 64
2θ 28.10, rel. 24
2θ 35.34, rel. 29
2θ 39.23, rel. 24

Structure:
```
PdN2F4
1.0
3.208 0.000 0.000
-0.939 4.821 0.000
-1.534 -1.842 6.830
Pd N F
1 2 4
direct
0.000 0.000 0.000
0.366 0.823 0.829
0.634 0.177 0.171
0.253 0.516 0.780
0.294 0.880 0.643
0.706 0.120 0.357
0.747 0.484 0.220
```

> What is the formula in the first record?

DyY4Ag5